Entry 1:
This entry pairs a crystal structure of Ba2B10O17 with its theoretical XRD peak list. Radiation: Cu Ka. Structure: the PBE geometry in the Materials Project.

Atomic structure:
```
58
Lattice="6.820 0.000 0.000 3.025 9.667 0.000 1.244 2.201 9.887" Properties=species:S:1:pos:R:3 pbc="T T T"
Ba 3.279 5.057 1.988
Ba 2.106 0.803 2.762
Ba 8.983 11.065 7.125
Ba 7.810 6.811 7.900
B 3.035 8.464 4.696
B 2.970 4.602 9.724
B 4.649 8.779 8.727
B 3.789 6.031 5.240
B 2.858 2.610 6.900
B 5.995 11.724 9.425
B 5.095 9.116 6.212
B 4.215 5.459 7.733
B 3.731 3.419 4.708
B 5.575 7.125 0.147
B 5.515 4.743 9.741
B 7.358 8.449 5.179
B 6.875 6.409 2.154
B 5.995 2.752 3.676
B 5.095 0.144 0.463
B 8.231 9.258 2.988
B 7.300 5.837 4.648
B 6.440 3.089 1.161
B 8.119 7.266 0.163
B 8.054 3.403 5.191
O 1.559 2.772 6.526
O 3.565 8.524 9.529
O 3.294 7.033 4.448
O 1.249 1.020 0.096
O 3.073 4.921 8.280
O 4.398 9.198 7.430
O 2.343 3.170 4.248
O 4.314 9.139 5.085
O 4.051 6.228 6.588
O 2.985 2.615 0.538
O 3.221 1.942 8.070
O 4.068 4.851 4.601
O 5.062 8.496 0.390
O 3.926 2.914 6.082
O 5.900 8.505 9.206
O 5.425 5.387 8.369
O 6.465 9.120 6.173
O 4.624 2.747 3.714
O 5.665 6.481 1.519
O 5.190 3.363 0.682
O 7.164 8.954 3.805
O 6.028 3.371 9.498
O 7.021 7.017 5.287
O 7.868 9.926 1.818
O 8.105 9.253 9.350
O 7.039 5.640 3.299
O 6.775 2.729 4.803
O 8.747 8.698 5.639
O 6.691 2.669 2.457
O 8.017 6.947 1.607
O 9.841 10.848 9.791
O 7.795 4.835 5.439
O 7.524 3.344 0.358
O 9.530 9.096 3.362
```

Largest 12 diffraction maxima, in order of falling intensity, 10 to 90 degrees two-theta:
2θ (°)	d/Å	Rel. int.
28.87	3.093	100
26.65	3.345	88
15.91	5.570	83
23.06	3.857	79
29.22	3.056	78
27.45	3.250	75
28.67	3.113	73
19.78	4.489	69
23.81	3.738	64
40.51	2.227	57
16.72	5.302	46
36.89	2.437	45



Entry 2:
This entry pairs a crystal structure of TaMn2N3 with its theoretical XRD peak list. Radiation: Cu Ka. Structure: the PBE geometry in the Materials Project.

Atomic structure:
```
12
Lattice="5.003 -2.899 0.000 5.003 2.899 0.000 0.000 0.000 4.369" Properties=species:S:1:pos:R:3 pbc="T T T"
Ta 5.003 1.865 2.184
Ta 5.003 -1.865 0.000
Mn 3.178 1.175 4.170
Mn 6.829 1.175 4.170
Mn 3.178 -1.175 1.986
Mn 6.829 -1.175 1.986
N 5.003 1.855 0.030
N 3.359 0.717 2.292
N 3.359 -0.717 0.107
N 6.648 0.717 2.292
N 6.648 -0.717 0.107
N 5.003 -1.855 2.214
```

Largest 12 diffraction maxima, in order of falling intensity, 10 to 90 degrees two-theta:
2θ (°)	d/Å	Rel. int.
37.28	2.412	100
30.88	2.896	51
27.06	3.295	46
17.71	5.009	41
41.33	2.184	27
52.47	1.744	20
54.90	1.672	19
70.99	1.328	18
35.88	2.503	14
72.69	1.301	13
41.51	2.175	12
47.97	1.896	12



Entry 3:
This entry pairs a crystal structure of TbSe3 with its theoretical XRD peak list. Radiation: Cu Ka. Structure: the PBE geometry in the Materials Project.

Atomic structure:
```
4
Lattice="3.130 -4.448 0.000 3.130 4.448 0.000 0.000 0.000 13.740" Properties=species:S:1:pos:R:3 pbc="T T T"
Tb 0.000 0.000 0.000
Se 0.000 0.000 6.870
Se 1.565 2.224 0.000
Se 1.565 -2.224 0.000
```

Largest 12 diffraction maxima, in order of falling intensity, 10 to 90 degrees two-theta:
2θ (°)	d/Å	Rel. int.
12.89	6.870	100
21.65	4.105	43
17.32	5.120	36
37.49	2.399	29
25.94	3.435	19
44.12	2.053	18
31.36	2.852	18
35.06	2.560	18
42.76	2.115	17
19.38	4.580	14
53.71	1.707	12
35.68	2.516	12